# Be3As2H4O10
Theoretical powder diffractogram, Cu Kα (λ = 1.5418 Å). Input: a crystal structure in Alexandria, relaxed with GGA-PBE.

Top 10 peaks for 10 to 90 degrees two-theta, sorted by position:
2theta	I_rel
10.66	80
19.52	60
20.01	100
21.41	49
24.76	97
26.76	46
28.96	59
29.88	42
35.86	48
55.31	26

Cell lengths 8.6545, 8.6545, 10.0401 Å; angles 94.16, 94.16, 31.71 degrees
Fractional positions:
Be 0.1789 0.8211 0.7500
Be 0.2005 0.2941 0.1613
Be 0.2941 0.2005 0.6613
Be 0.7059 0.7995 0.3387
Be 0.7995 0.7059 0.8387
Be 0.8211 0.1789 0.2500
As 0.1113 0.1985 0.3998
As 0.1985 0.1113 0.8998
As 0.8015 0.8887 0.1002
As 0.8887 0.8015 0.6002
H 0.2167 0.5971 0.8935
H 0.3538 0.5177 0.3106
H 0.4029 0.7833 0.6065
H 0.4823 0.6462 0.1894
H 0.5177 0.3538 0.8106
H 0.5971 0.2167 0.3935
H 0.6462 0.4823 0.6894
H 0.7833 0.4029 0.1065
O 0.0272 0.0940 0.8336
O 0.0817 0.2500 0.0595
O 0.0940 0.0272 0.3336
O 0.0996 0.3464 0.7982
O 0.2157 0.4286 0.6024
O 0.2500 0.0817 0.5595
O 0.3464 0.0996 0.2982
O 0.3504 0.5544 0.8480
O 0.4286 0.2157 0.1024
O 0.4456 0.6496 0.6520
O 0.5544 0.3504 0.3480
O 0.5714 0.7843 0.8976
O 0.6496 0.4456 0.1520
O 0.6536 0.9004 0.7018
O 0.7500 0.9183 0.4405
O 0.7843 0.5714 0.3976
O 0.9004 0.6536 0.2018
O 0.9060 0.9728 0.6664
O 0.9183 0.7500 0.9405
O 0.9728 0.9060 0.1664

***

# Cu5PdAu6
Theoretical powder diffractogram, Cu Kα (λ = 1.5418 Å). Input: a crystal structure in Alexandria, relaxed with GGA-PBE.

Top 10 peaks for 10 to 90 degrees two-theta, sorted by position:
2theta	I_rel
24.09	34
30.98	38
39.57	100
39.68	99
44.39	73
49.33	26
64.58	23
68.51	19
78.42	27
78.57	27

Cell lengths 6.4541, 6.4541, 7.3890 Å; angles 90.08, 90.08, 143.13 degrees
Fractional positions:
Cu 0.0000 0.0000 0.0000
Cu 0.3323 0.6677 0.0000
Cu 0.3355 0.6645 0.5000
Cu 0.6645 0.3355 0.5000
Cu 0.6677 0.3323 0.0000
Pd 0.0000 0.0000 0.5000
Au 0.1688 0.8311 0.2469
Au 0.1689 0.8312 0.7531
Au 0.5000 0.5000 0.2368
Au 0.5000 0.5000 0.7632
Au 0.8311 0.1688 0.2469
Au 0.8312 0.1689 0.7531

***

# CaAcAs2Rh5
Theoretical powder diffractogram, Cu Kα (λ = 1.5418 Å). Input: a crystal structure in Alexandria, relaxed with GGA-PBE.

Top 10 peaks for 10 to 90 degrees two-theta, sorted by position:
2theta	I_rel
22.76	28
28.77	21
30.74	16
35.52	100
36.82	37
41.47	62
56.64	22
59.59	17
60.09	21
71.79	25

Cell lengths 4.3553, 4.3553, 8.8434 Å; angles 90.00, 90.00, 90.00 degrees
Fractional positions:
Ca 0.0000 0.0000 0.0000
Ac 0.0000 0.0000 0.5000
As 0.5000 0.5000 0.3328
As 0.5000 0.5000 0.6672
Rh 0.0000 0.5000 0.2199
Rh 0.0000 0.5000 0.7801
Rh 0.5000 0.0000 0.2199
Rh 0.5000 0.0000 0.7801
Rh 0.5000 0.5000 0.0000

***

# Nb6NiIr
Theoretical powder diffractogram, Cu Kα (λ = 1.5418 Å). Input: a crystal structure in Alexandria, relaxed with GGA-PBE.

Top 10 peaks for 10 to 90 degrees two-theta, sorted by position:
2theta	I_rel
20.35	12
28.65	6
38.71	54
39.63	100
55.90	18
58.67	8
70.68	35
72.52	16
83.03	6
85.37	10

Cell lengths 4.6524, 4.6524, 12.5892 Å; angles 90.00, 90.00, 90.00 degrees
Fractional positions:
Nb 0.0000 0.0000 0.2486
Nb 0.0000 0.0000 0.7514
Nb 0.0000 0.5000 0.1219
Nb 0.0000 0.5000 0.3781
Nb 0.0000 0.5000 0.6219
Nb 0.0000 0.5000 0.8781
Nb 0.5000 0.0000 0.1219
Nb 0.5000 0.0000 0.3781
Nb 0.5000 0.0000 0.6219
Nb 0.5000 0.0000 0.8781
Nb 0.5000 0.5000 0.2514
Nb 0.5000 0.5000 0.7486
Ni 0.0000 0.0000 0.0000
Ni 0.5000 0.5000 0.5000
Ir 0.0000 0.0000 0.5000
Ir 0.5000 0.5000 0.0000